The following is a theoretical powder X-ray diffraction pattern of VInSe2O8. It was derived from a PBE+U-relaxed structure, using a wavelength of 1.5418 Å.
Lines closer than 0.1° are merged.

```
data_VInSe2O8
_symmetry_space_group_name_H-M 'P 1 m 1'
_symmetry_Int_Tables_number 6
_cell_length_a 4.827
_cell_length_b 6.957
_cell_length_c 10.788
_cell_angle_alpha 90.00
_cell_angle_beta 98.10
_cell_angle_gamma 90.00
loop_
_symmetry_equiv_pos_as_xyz
'x,y,z'
'x,-y,z'
loop_
_atom_site_label
_atom_site_type_symbol
_atom_site_fract_x
_atom_site_fract_y
_atom_site_fract_z
V1 V 0.000 0.249 0.000
In1 In 0.088 0.250 0.491
Se1 Se 0.192 0.500 0.774
Se2 Se 0.347 0.000 0.238
Se3 Se 0.530 0.500 0.305
Se4 Se 0.639 0.000 0.680
O1 O 0.009 0.304 0.821
O2 O 0.029 0.500 0.616
O3 O 0.095 0.000 0.967
O4 O 0.118 0.500 0.030
O5 O 0.160 0.199 0.177
O6 O 0.214 0.000 0.384
O7 O 0.241 0.500 0.393
O8 O 0.441 0.199 0.632
O9 O 0.666 0.246 0.007
O10 O 0.697 0.300 0.373
O11 O 0.878 0.000 0.566
```

Top 6 peaks for 15° ≤ 2θ ≤ 90°, by intensity:
Position (°2θ), I (rel.), h k l
30.67, 100.0, 0 2 2
23.15, 86.1, 1 0 -2
18.57, 53.2, 1 0 0
31.82, 47.3, 1 2 0
26.73, 46.1, 1 0 2
24.99, 45.2, 1 1 1